Entry 1:
RbCdAuS2: theoretical XRD peak list (copper Kα), based on a DFT-relaxed cell (PBE, Alexandria).

Structural model:
Cell lengths 13.903, 5.786, 7.157 Å; angles 90.00, 90.00, 90.00 degrees
Sites, in units of the cell vectors:
Rb 0.000 0.211 0.250
Rb 0.000 0.789 0.750
Rb 0.500 0.211 0.750
Rb 0.500 0.789 0.250
Cd 0.250 0.500 0.110
Cd 0.250 0.500 0.610
Cd 0.750 0.500 0.390
Cd 0.750 0.500 0.890
Au 0.250 0.000 0.365
Au 0.250 0.000 0.865
Au 0.750 0.000 0.135
Au 0.750 0.000 0.635
S 0.138 0.301 0.862
S 0.138 0.699 0.362
S 0.362 0.301 0.362
S 0.362 0.699 0.862
S 0.638 0.301 0.138
S 0.638 0.699 0.638
S 0.862 0.301 0.638
S 0.862 0.699 0.138

The 10 most intense peaks (2θ = 15–90°), by intensity:
2θ/deg	I_rel	(hkl)
30.05	100	1 1 2
35.28	72	3 1 2
25.65	59	4 0 0
33.55	58	2 2 0
44.12	40	5 1 2
54.45	24	1 3 2
27.63	22	3 1 1
50.46	21	6 2 0
40.58	20	4 2 0
55.22	19	7 1 2

---

Entry 2:
CdRe3Au: theoretical XRD peak list (copper Kα), based on a DFT-relaxed cell (PBE, Alexandria).

Structural model:
Cell lengths 4.777, 4.777, 4.777 Å; angles 90.00, 90.00, 90.00 degrees
Sites, in units of the cell vectors:
Cd 0.000 0.000 0.000
Re 0.000 0.000 0.500
Re 0.000 0.500 0.000
Re 0.500 0.000 0.000
Au 0.500 0.500 0.500

The 10 most intense peaks (2θ = 15–90°), by intensity:
2θ/deg	I_rel	(hkl)
32.46	100	1 1 1
37.66	94	2 0 0
54.31	66	2 2 0
64.71	43	3 1 1
67.97	22	2 2 2
89.40	19	3 3 1
26.38	11	1 1 0
80.40	11	4 0 0
18.57	8	1 0 0
46.56	5	2 1 1